[1]
Simulated powder X-ray diffraction pattern of Nd2AlPt7 for CuKα, from a cell relaxed with GGA-PBE.
Intensities are scaled so that the largest is 100.

Atomic structure:
```
Nd2AlPt7
1.0
3.9785 0.0000 0.0000
0.0000 3.9785 0.0000
0.0000 0.0000 12.4560
Nd Al Pt
2 1 7
direct
0.0000 0.5000 0.2342
0.5000 0.0000 0.7658
0.0000 0.0000 0.5000
0.0000 0.0000 0.0000
0.0000 0.5000 0.6408
0.0000 0.5000 0.8478
0.5000 0.0000 0.1522
0.5000 0.0000 0.3592
0.5000 0.5000 0.0000
0.5000 0.5000 0.5000
```

Main lines, sorted by position (10° ≤ 2θ ≤ 90°):
- 23.5°, intensity 30
- 31.1°, intensity 39
- 35.0°, intensity 100
- 42.8°, intensity 50
- 43.3°, intensity 46
- 45.6°, intensity 56
- 56.2°, intensity 15
- 64.3°, intensity 30
- 66.5°, intensity 18
- 77.4°, intensity 21



[2]
Simulated powder X-ray diffraction pattern of Nd2Al3Pt5 for CuKα, from a cell relaxed with GGA-PBE.
Intensities are scaled so that the largest is 100.

Atomic structure:
```
Nd2Al3Pt5
1.0
2.1100 -12.7453 0.0000
2.1100 12.7453 0.0000
0.0000 0.0000 6.9347
Nd Al Pt
4 6 10
direct
0.0235 0.9765 0.5000
0.3268 0.6732 0.5268
0.6732 0.3268 0.0268
0.9765 0.0235 0.0000
0.1334 0.8666 0.6750
0.2829 0.7171 0.0789
0.4525 0.5475 0.6770
0.5475 0.4525 0.1770
0.7171 0.2829 0.5789
0.8666 0.1334 0.1750
0.0980 0.9020 0.1647
0.1978 0.8022 0.3516
0.2278 0.7722 0.7782
0.3808 0.6192 0.9605
0.4472 0.5528 0.3082
0.5528 0.4472 0.8082
0.6192 0.3808 0.4605
0.7722 0.2278 0.2782
0.8022 0.1978 0.8516
0.9020 0.0980 0.6647
```

Main lines, sorted by position (10° ≤ 2θ ≤ 90°):
- 26.9°, intensity 26
- 33.4°, intensity 11
- 35.1°, intensity 100
- 37.6°, intensity 12
- 37.9°, intensity 27
- 38.3°, intensity 16
- 41.6°, intensity 15
- 42.9°, intensity 28
- 44.6°, intensity 14
- 73.5°, intensity 12



[3]
Simulated powder X-ray diffraction pattern of NdAl2Pt6 for CuKα, from a cell relaxed with GGA-PBE.
Intensities are scaled so that the largest is 100.

Atomic structure:
```
NdAl2Pt6
1.0
0.0000 5.6623 5.6623
5.6623 0.0000 5.6623
5.6623 5.6623 0.0000
Nd Al Pt
2 4 12
direct
0.1250 0.1250 0.1250
0.8750 0.8750 0.8750
0.0000 0.5000 0.5000
0.5000 0.0000 0.5000
0.5000 0.5000 0.0000
0.5000 0.5000 0.5000
0.1262 0.1262 0.6238
0.1262 0.6238 0.1262
0.1262 0.6238 0.6238
0.3762 0.3762 0.8738
0.3762 0.8738 0.3762
0.3762 0.8738 0.8738
0.6238 0.1262 0.1262
0.6238 0.1262 0.6238
0.6238 0.6238 0.1262
0.8738 0.3762 0.3762
0.8738 0.3762 0.8738
0.8738 0.8738 0.3762
```

Main lines, sorted by position (10° ≤ 2θ ≤ 90°):
- 22.2°, intensity 18
- 26.1°, intensity 7
- 31.6°, intensity 100
- 39.0°, intensity 9
- 45.3°, intensity 89
- 56.3°, intensity 27
- 61.3°, intensity 5
- 66.0°, intensity 15
- 75.0°, intensity 34
- 83.7°, intensity 31



[4]
Simulated powder X-ray diffraction pattern of NdAlPt4 for CuKα, from a cell relaxed with GGA-PBE.
Intensities are scaled so that the largest is 100.

Atomic structure:
```
NdAlPt4
1.0
2.0037 -7.9573 0.0000
2.0037 7.9573 0.0000
0.0000 0.0000 6.7503
Nd Al Pt
2 2 8
direct
0.1027 0.8973 0.7500
0.8973 0.1027 0.2500
0.2325 0.7675 0.2500
0.7675 0.2325 0.7500
0.0787 0.9213 0.2500
0.3204 0.6796 0.5458
0.3204 0.6796 0.9542
0.5000 0.5000 0.0000
0.5000 0.5000 0.5000
0.6796 0.3204 0.0458
0.6796 0.3204 0.4542
0.9213 0.0787 0.7500
```

Main lines, sorted by position (10° ≤ 2θ ≤ 90°):
- 34.9°, intensity 12
- 35.2°, intensity 100
- 36.0°, intensity 75
- 43.4°, intensity 47
- 45.3°, intensity 33
- 46.6°, intensity 10
- 64.5°, intensity 29
- 67.0°, intensity 15
- 75.3°, intensity 15
- 77.0°, intensity 11



[5]
Simulated powder X-ray diffraction pattern of NdAl4PtRh2 for CuKα, from a cell relaxed with GGA-PBE.
Intensities are scaled so that the largest is 100.

Atomic structure:
```
NdAl4PtRh2
1.0
2.1197 1.2238 8.9904
-2.1197 1.2238 8.9904
0.0000 -2.4476 8.9904
Nd Al Pt Rh
1 4 1 2
direct
0.0000 0.0000 0.0000
0.1306 0.1306 0.1306
0.4048 0.4048 0.4048
0.5952 0.5952 0.5952
0.8694 0.8694 0.8694
0.5000 0.5000 0.5000
0.2302 0.2302 0.2302
0.7698 0.7698 0.7698
```

Main lines, sorted by position (10° ≤ 2θ ≤ 90°):
- 27.7°, intensity 100
- 36.2°, intensity 69
- 41.5°, intensity 17
- 42.7°, intensity 73
- 44.4°, intensity 19
- 51.6°, intensity 18
- 57.1°, intensity 19
- 69.1°, intensity 15
- 73.9°, intensity 17
- 78.1°, intensity 23



[6]
Simulated powder X-ray diffraction pattern of Nd2ScAl4Pt3 for CuKα, from a cell relaxed with GGA-PBE.
Intensities are scaled so that the largest is 100.

Atomic structure:
```
Nd2ScAl4Pt3
1.0
4.2400 0.0000 0.0000
0.0000 4.2400 0.0000
0.0000 0.0000 11.2436
Nd Sc Al Pt
2 1 4 3
direct
0.0000 0.5000 0.2370
0.5000 0.0000 0.7630
0.0000 0.0000 0.5000
0.0000 0.0000 0.0000
0.0000 0.5000 0.6552
0.5000 0.0000 0.3448
0.5000 0.5000 0.0000
0.0000 0.5000 0.8754
0.5000 0.0000 0.1246
0.5000 0.5000 0.5000
```

Main lines, sorted by position (10° ≤ 2θ ≤ 90°):
- 23.7°, intensity 33
- 26.3°, intensity 48
- 29.8°, intensity 33
- 30.9°, intensity 62
- 31.9°, intensity 100
- 33.9°, intensity 87
- 42.6°, intensity 67
- 45.7°, intensity 39
- 54.2°, intensity 46
- 64.3°, intensity 29



[7]
Simulated powder X-ray diffraction pattern of Nd2TiAl2Pt5 for CuKα, from a cell relaxed with GGA-PBE.
Intensities are scaled so that the largest is 100.

Atomic structure:
```
Nd2TiAl2Pt5
1.0
10.5114 0.0000 0.0000
0.0000 10.5114 0.0000
0.0000 0.0000 3.3612
Nd Ti Al Pt
4 2 4 10
direct
0.1764 0.3236 0.0000
0.3236 0.8236 0.0000
0.6764 0.1764 0.0000
0.8236 0.6764 0.0000
0.0000 0.0000 0.0000
0.5000 0.5000 0.0000
0.1268 0.6268 0.0000
0.3732 0.1268 0.0000
0.6268 0.8732 0.0000
0.8732 0.3732 0.0000
0.0000 0.5000 0.5000
0.0498 0.8028 0.5000
0.1972 0.0498 0.5000
0.3028 0.5498 0.5000
0.4502 0.3028 0.5000
0.5000 0.0000 0.5000
0.5498 0.6972 0.5000
0.6972 0.4502 0.5000
0.8028 0.9502 0.5000
0.9502 0.1972 0.5000
```

Main lines, sorted by position (10° ≤ 2θ ≤ 90°):
- 26.5°, intensity 26
- 31.6°, intensity 23
- 32.8°, intensity 36
- 35.2°, intensity 79
- 36.0°, intensity 30
- 36.3°, intensity 51
- 38.1°, intensity 100
- 41.0°, intensity 32
- 43.7°, intensity 21
- 66.7°, intensity 25



[8]
Simulated powder X-ray diffraction pattern of NdYAlPt for CuKα, from a cell relaxed with GGA-PBE.
Intensities are scaled so that the largest is 100.

Atomic structure:
```
NdYAlPt
1.0
0.0000 3.6252 3.6252
3.6252 0.0000 3.6252
3.6252 3.6252 0.0000
Nd Y Al Pt
1 1 1 1
direct
0.0000 0.0000 0.0000
0.5000 0.5000 0.5000
0.2500 0.2500 0.2500
0.7500 0.7500 0.7500
```

Main lines, sorted by position (10° ≤ 2θ ≤ 90°):
- 21.2°, intensity 33
- 35.0°, intensity 100
- 41.3°, intensity 19
- 50.3°, intensity 18
- 55.2°, intensity 8
- 62.8°, intensity 37
- 67.1°, intensity 6
- 74.0°, intensity 11
- 78.0°, intensity 6
- 84.5°, intensity 16



[9]
Simulated powder X-ray diffraction pattern of NdAlZn2Pt for CuKα, from a cell relaxed with GGA-PBE.
Intensities are scaled so that the largest is 100.

Atomic structure:
```
NdAlZn2Pt
1.0
-1.9981 2.1535 5.6458
1.9981 -2.1535 5.6458
1.9981 2.1535 -5.6458
Nd Al Zn Pt
1 1 2 1
direct
0.0000 0.0000 0.0000
0.2498 0.7498 0.5000
0.6112 0.6112 0.0000
0.7539 0.2539 0.5000
0.3853 0.3853 0.0000
```

Main lines, sorted by position (10° ≤ 2θ ≤ 90°):
- 15.7°, intensity 39
- 30.5°, intensity 71
- 31.6°, intensity 68
- 32.7°, intensity 55
- 34.5°, intensity 100
- 42.0°, intensity 41
- 45.4°, intensity 74
- 46.2°, intensity 34
- 56.3°, intensity 27
- 66.1°, intensity 27



[10]
Simulated powder X-ray diffraction pattern of Nd2PuAl2Rh5 for CuKα, from a cell relaxed with GGA-PBE.
Intensities are scaled so that the largest is 100.

Atomic structure:
```
Nd2PuAl2Rh5
1.0
10.1932 0.0000 0.0000
0.0000 10.1932 0.0000
0.0000 0.0000 3.6038
Nd Pu Al Rh
4 2 4 10
direct
0.1752 0.3248 0.0000
0.3248 0.8248 0.0000
0.6752 0.1752 0.0000
0.8248 0.6752 0.0000
0.0000 0.0000 0.0000
0.5000 0.5000 0.0000
0.1206 0.6206 0.0000
0.3794 0.1206 0.0000
0.6206 0.8794 0.0000
0.8794 0.3794 0.0000
0.0000 0.5000 0.5000
0.0689 0.7859 0.5000
0.2141 0.0689 0.5000
0.2859 0.5689 0.5000
0.4311 0.2859 0.5000
0.5000 0.0000 0.5000
0.5689 0.7141 0.5000
0.7141 0.4311 0.5000
0.7859 0.9311 0.5000
0.9311 0.2141 0.5000
```

Main lines, sorted by position (10° ≤ 2θ ≤ 90°):
- 27.7°, intensity 17
- 31.6°, intensity 39
- 35.2°, intensity 42
- 36.3°, intensity 39
- 37.4°, intensity 100
- 39.5°, intensity 29
- 40.6°, intensity 18
- 50.7°, intensity 21
- 63.9°, intensity 25
- 70.3°, intensity 18



[11]
Simulated powder X-ray diffraction pattern of Nd4Al12Rh for CuKα, from a cell relaxed with GGA-PBE.
Intensities are scaled so that the largest is 100.

Atomic structure:
```
Nd4Al12Rh
1.0
-4.3994 4.3994 4.3994
4.3994 -4.3994 4.3994
4.3994 4.3994 -4.3994
Nd Al Rh
4 12 1
direct
0.0000 0.0000 0.5000
0.0000 0.5000 0.0000
0.5000 0.0000 0.0000
0.5000 0.5000 0.5000
0.0000 0.2866 0.2866
0.0000 0.7134 0.7134
0.2500 0.5000 0.7500
0.2500 0.7500 0.5000
0.2866 0.0000 0.2866
0.2866 0.2866 0.0000
0.5000 0.2500 0.7500
0.5000 0.7500 0.2500
0.7134 0.0000 0.7134
0.7134 0.7134 0.0000
0.7500 0.2500 0.5000
0.7500 0.5000 0.2500
0.0000 0.0000 0.0000
```

Main lines, sorted by position (10° ≤ 2θ ≤ 90°):
- 20.2°, intensity 43
- 28.7°, intensity 100
- 35.3°, intensity 68
- 41.0°, intensity 54
- 46.1°, intensity 23
- 50.8°, intensity 38
- 59.4°, intensity 34
- 67.3°, intensity 20
- 71.1°, intensity 24
- 81.9°, intensity 22



[12]
Simulated powder X-ray diffraction pattern of NdAl8Rh4 for CuKα, from a cell relaxed with GGA-PBE.
Intensities are scaled so that the largest is 100.

Atomic structure:
```
NdAl8Rh4
1.0
-4.3710 4.3710 2.7388
4.3710 -4.3710 2.7388
4.3710 4.3710 -2.7388
Nd Al Rh
1 8 4
direct
0.0000 0.0000 0.0000
0.0000 0.3442 0.3442
0.0000 0.6558 0.6558
0.2744 0.5000 0.7744
0.3442 0.0000 0.3442
0.5000 0.2744 0.7744
0.5000 0.7256 0.2256
0.6558 0.0000 0.6558
0.7256 0.5000 0.2256
0.0000 0.0000 0.5000
0.0000 0.5000 0.0000
0.5000 0.0000 0.0000
0.5000 0.5000 0.5000
```

Main lines, sorted by position (10° ≤ 2θ ≤ 90°):
- 20.3°, intensity 44
- 28.0°, intensity 25
- 28.9°, intensity 54
- 38.8°, intensity 100
- 40.7°, intensity 31
- 41.3°, intensity 53
- 44.2°, intensity 33
- 46.5°, intensity 19
- 58.0°, intensity 42
- 73.6°, intensity 19